Entry 1:
Diffraction record for Li4Cr5Co3O16. The powder X-ray diffraction pattern is computed, not measured: it uses a DFT-relaxed cell (GGA+U, the Materials Project) and Cu Kα (weighted mean of Kα1 and Kα2).
Intensities are scaled so that the largest is 100.

Main lines, low angle first (10 to 90 degrees two-theta):
Position (°2θ)  Rel. int.
18.7  100
19.7  28
19.8  69
35.8  26
36.1  26
36.4  25
36.6  27
40.3  28
45.8  32
63.8  37

Structure:
```
data_Li4Cr5Co3O16
_chemical_formula_sum 'Li4 Cr5 Co3 O16'
_space_group_name_H-M_alt 'P 1'
_space_group_IT_number 1
_cell_length_a 5.8310
_cell_length_b 5.8377
_cell_length_c 9.4967
_cell_angle_alpha 89.07
_cell_angle_beta 89.59
_cell_angle_gamma 60.54
loop_
_space_group_symop_operation_xyz
'x,y,z'
loop_
_atom_site_label
_atom_site_type_symbol
_atom_site_fract_x
_atom_site_fract_y
_atom_site_fract_z
Li1 Li 0.0000 0.0000 0.0000
Li2 Li 0.9996 0.0005 0.4983
Li3 Li 0.3394 0.3353 0.6001
Li4 Li 0.6806 0.6655 0.1029
Cr1 Cr 0.1720 0.1701 0.2876
Cr2 Cr 0.3425 0.8324 0.7874
Cr3 Cr 0.3492 0.3370 0.0134
Cr4 Cr 0.6639 0.6790 0.5111
Cr5 Cr 0.8373 0.3392 0.7864
Co1 Co 0.1705 0.6629 0.2789
Co2 Co 0.6648 0.1727 0.2823
Co3 Co 0.8348 0.8311 0.7751
O1 O 0.0034 0.0021 0.6864
O2 O 0.0515 0.4763 0.1575
O3 O 0.1726 0.1665 0.8895
O4 O 0.1872 0.6724 0.8959
O5 O 0.3309 0.8467 0.3905
O6 O 0.3511 0.3277 0.3901
O7 O 0.4862 0.0438 0.1637
O8 O 0.5047 0.4681 0.1575
O9 O 0.5119 0.9651 0.6549
O10 O 0.5243 0.5256 0.6625
O11 O 0.6769 0.1814 0.8934
O12 O 0.6772 0.6713 0.8927
O13 O 0.8295 0.8528 0.3911
O14 O 0.8437 0.3293 0.3881
O15 O 0.9654 0.5128 0.6533
O16 O 0.9930 0.0131 0.1864
```

Entry 2:
Diffraction record for Li2CrCo3O8. The powder X-ray diffraction pattern is computed, not measured: it uses a DFT-relaxed cell (GGA+U, the Materials Project) and Cu Kα (weighted mean of Kα1 and Kα2).
Intensities are scaled so that the largest is 100.

Main lines, low angle first (10 to 90 degrees two-theta):
Position (°2θ)  Rel. int.
18.7  54
19.0  100
36.4  16
36.7  34
36.9  20
38.5  14
44.6  79
59.1  11
64.4  23
65.3  23

Structure:
```
data_Li2CrCo3O8
_chemical_formula_sum 'Li6 Cr3 Co9 O24'
_space_group_name_H-M_alt 'R -3 m'
_space_group_IT_number 166
_space_group_name_Hall '-R 3 2"'
_cell_length_a 5.7156
_cell_length_b 5.7156
_cell_length_c 14.2560
_cell_angle_alpha 90.00
_cell_angle_beta 90.00
_cell_angle_gamma 120.00
loop_
_atom_site_label
_atom_site_type_symbol
_atom_site_fract_x
_atom_site_fract_y
_atom_site_fract_z
Li1 Li 0.0000 0.0000 0.1231
Cr1 Cr 0.0000 0.0000 0.5000
Co1 Co 0.0000 0.5000 0.0000
O1 O 0.0000 0.0000 0.2629
O2 O 0.0320 0.5160 0.2606
```

Entry 3:
Diffraction record for Li3CrCo3O8. The powder X-ray diffraction pattern is computed, not measured: it uses a DFT-relaxed cell (GGA+U, the Materials Project) and Cu Kα (weighted mean of Kα1 and Kα2).
Intensities are scaled so that the largest is 100.

Main lines, low angle first (10 to 90 degrees two-theta):
Position (°2θ)  Rel. int.
18.1  100
35.5  14
36.2  24
37.8  7
42.9  23
43.6  42
47.5  8
57.1  10
62.5  12
63.2  6

Structure:
```
data_Li3CrCo3O8
_chemical_formula_sum 'Li6 Cr2 Co6 O16'
_space_group_name_H-M_alt 'P -1'
_space_group_IT_number 2
_cell_length_a 5.7715
_cell_length_b 5.8814
_cell_length_c 10.3653
_cell_angle_alpha 73.87
_cell_angle_beta 73.84
_cell_angle_gamma 60.72
loop_
_space_group_symop_operation_xyz
'x,y,z'
'-x,-y,-z'
loop_
_atom_site_label
_atom_site_type_symbol
_atom_site_fract_x
_atom_site_fract_y
_atom_site_fract_z
Li1 Li 0.2449 0.2568 0.2507
Li2 Li 0.2515 0.7451 0.2541
Li3 Li 0.2523 0.7453 0.7489
Cr1 Cr 0.0000 0.0000 0.5000
Cr2 Cr 0.5000 0.5000 0.0000
Co1 Co 0.0000 0.0000 0.0000
Co2 Co 0.0000 0.5000 0.0000
Co3 Co 0.0000 0.5000 0.5000
Co4 Co 0.5000 0.0000 0.0000
Co5 Co 0.5000 0.0000 0.5000
Co6 Co 0.5000 0.5000 0.5000
O1 O 0.1206 0.1470 0.1118
O2 O 0.1280 0.6186 0.1060
O3 O 0.1319 0.6332 0.6066
O4 O 0.1422 0.1220 0.6084
O5 O 0.3521 0.3814 0.8939
O6 O 0.3679 0.8689 0.8953
O7 O 0.3689 0.8849 0.3909
O8 O 0.3703 0.3779 0.3797
```

Entry 4:
Diffraction record for Li3Cr2Co2O8. The powder X-ray diffraction pattern is computed, not measured: it uses a DFT-relaxed cell (GGA+U, the Materials Project) and Cu Kα (weighted mean of Kα1 and Kα2).
Intensities are scaled so that the largest is 100.

Main lines, low angle first (10 to 90 degrees two-theta):
Position (°2θ)  Rel. int.
18.3  100
18.4  25
35.0  13
35.4  12
37.1  10
37.3  9
42.3  30
43.0  29
44.3  26
62.0  16

Structure:
```
data_Li3Cr2Co2O8
_chemical_formula_sum 'Li3 Cr2 Co2 O8'
_space_group_name_H-M_alt 'P -1'
_space_group_IT_number 2
_cell_length_a 5.8488
_cell_length_b 5.8811
_cell_length_c 5.9034
_cell_angle_alpha 118.91
_cell_angle_beta 118.67
_cell_angle_gamma 91.57
loop_
_space_group_symop_operation_xyz
'x,y,z'
'-x,-y,-z'
loop_
_atom_site_label
_atom_site_type_symbol
_atom_site_fract_x
_atom_site_fract_y
_atom_site_fract_z
Li1 Li 0.0000 0.0000 0.0000
Li2 Li 0.0000 0.5000 0.0000
Li3 Li 0.5000 0.0000 0.5000
Cr1 Cr 0.5000 0.5000 0.0000
Cr2 Cr 0.5000 0.5000 0.5000
Co1 Co 0.0000 0.5000 0.5000
Co2 Co 0.5000 0.0000 0.0000
O1 O 0.2602 0.7241 0.5101
O2 O 0.2651 0.7475 0.9876
O3 O 0.2748 0.2826 0.5237
O4 O 0.2818 0.2703 0.0443
```